[1]
Structure and theoretical XRD peak list of Ag10Pd3Au3 (the GGA-PBE geometry in Alexandria; Cu Kα).

Structure:
```
16
Lattice="8.018 0.000 0.000 -4.009 6.944 0.000 0.000 0.000 5.268" Properties=species:S:1:pos:R:3 pbc="T T T"
Ag -0.919 1.592 0.000
Ag -3.107 5.382 2.634
Ag 0.902 1.562 2.634
Ag 1.838 0.000 0.000
Ag 0.000 4.629 1.325
Ag 0.000 4.629 3.943
Ag 4.009 2.315 1.325
Ag 4.009 2.315 3.943
Ag 3.090 5.352 0.000
Ag 6.215 0.000 2.634
Pd -1.629 2.821 2.634
Pd 3.258 0.000 2.634
Pd 2.380 4.123 2.634
Au -2.396 4.149 0.000
Au 1.614 2.795 0.000
Au 4.791 0.000 0.000
```

The 10 most intense peaks (2θ from 10° to 90°), by intensity:
d = 2.349 Å, 38.32 deg, I 100.0; d = 2.201 Å, 41.00 deg, I 52.3; d = 2.625 Å, 34.16 deg, I 28.9; d = 2.315 Å, 38.91 deg, I 26.1; d = 1.459 Å, 63.77 deg, I 21.5; d = 1.228 Å, 77.74 deg, I 20.9; d = 2.634 Å, 34.04 deg, I 18.6; d = 1.809 Å, 50.45 deg, I 16.9; d = 2.098 Å, 43.11 deg, I 13.1; d = 1.873 Å, 48.60 deg, I 11.9

***

[2]
Structure and theoretical XRD peak list of AgPdAu (the GGA-PBE geometry in Alexandria; Cu Kα).

Structure:
```
6
Lattice="5.331 -1.452 0.000 5.331 1.452 0.000 -2.001 0.000 6.608" Properties=species:S:1:pos:R:3 pbc="T T T"
Ag 1.452 0.000 0.215
Ag 7.208 0.000 6.393
Pd 0.796 0.000 4.186
Pd 7.865 0.000 2.422
Au 3.658 0.000 4.588
Au 5.003 0.000 2.020
```

The 10 most intense peaks (2θ from 10° to 90°), by intensity:
d = 2.221 Å, 40.61 deg, I 100.0; d = 2.208 Å, 40.86 deg, I 99.2; d = 2.380 Å, 37.80 deg, I 79.4; d = 2.203 Å, 40.97 deg, I 44.7; d = 2.177 Å, 41.47 deg, I 42.6; d = 2.502 Å, 35.89 deg, I 41.6; d = 1.431 Å, 65.21 deg, I 31.2; d = 2.466 Å, 36.43 deg, I 26.2; d = 1.233 Å, 77.40 deg, I 20.7; d = 1.344 Å, 69.97 deg, I 20.6